Entry 1:
Starting from a GGA-PBE-relaxed structure, the PXRD pattern of La2Pr4Nd5 was simulated for Cu Kα X-rays.

Cell and atoms:
```
La2Pr4Nd5
1.0
12.3884 -1.7701 0.0000
12.3884 1.7701 0.0000
-1.0481 0.0000 9.0365
La Pr Nd
2 4 5
Direct
0.0890 0.0890 0.2332
0.9110 0.9110 0.7668
0.0472 0.0472 0.8619
0.3209 0.3209 0.0292
0.6791 0.6791 0.9708
0.9528 0.9528 0.1381
0.1413 0.1413 0.6153
0.2319 0.2319 0.3261
0.5000 0.5000 0.5000
0.7681 0.7681 0.6739
0.8587 0.8587 0.3847
```

Peak list (12 most intense, 2θ = 15–90°, by intensity)
2theta	I_rel
29.60	1000
31.10	563
29.71	514
60.67	333
35.89	270
51.66	221
25.42	135
28.76	133
61.51	132
38.22	118
48.11	113
54.31	109

Entry 2:
Starting from a GGA-PBE-relaxed structure, the PXRD pattern of LaPr3Nd5 was simulated for Cu Kα X-rays.

Cell and atoms:
```
LaPr3Nd5
1.0
9.4566 -3.2938 0.0000
9.4566 3.2938 0.0000
-4.4439 0.0000 10.7457
La Pr Nd
2 6 10
Direct
0.1315 0.8685 0.7500
0.8685 0.1315 0.2500
0.0000 0.0000 0.0000
0.0000 0.0000 0.5000
0.1465 0.5324 0.4841
0.4676 0.8535 0.0159
0.5324 0.1465 0.9841
0.8535 0.4676 0.5159
0.0130 0.6483 0.1296
0.1289 0.5317 0.7870
0.3517 0.9870 0.3704
0.4049 0.5951 0.2500
0.4683 0.8711 0.7130
0.5317 0.1289 0.2870
0.5951 0.4049 0.7500
0.6483 0.0130 0.6296
0.8711 0.4683 0.2130
0.9870 0.3517 0.8704
```

Peak list (12 most intense, 2θ = 15–90°, by intensity)
2theta	I_rel
31.23	1000
30.69	743
30.51	583
33.15	308
28.97	280
27.32	248
27.06	247
35.78	177
34.09	176
23.38	170
44.10	140
53.91	133

Entry 3:
Starting from a GGA-PBE-relaxed structure, the PXRD pattern of La4PrNd5 was simulated for Cu Kα X-rays.

Cell and atoms:
```
La4PrNd5
1.0
8.8678 -1.8247 0.0000
8.8678 1.8247 0.0000
-0.0041 0.0000 11.5161
La Pr Nd
4 1 5
Direct
0.0302 0.0302 0.2495
0.3445 0.3445 0.2496
0.6555 0.6555 0.7504
0.9698 0.9698 0.7505
0.5000 0.5000 0.5000
0.1736 0.1736 0.0554
0.1740 0.1740 0.4438
0.5000 0.5000 0.0000
0.8260 0.8260 0.5562
0.8264 0.8264 0.9446
```

Peak list (12 most intense, 2θ = 15–90°, by intensity)
2theta	I_rel
32.76	1000
30.24	288
30.81	272
26.10	238
25.29	209
59.89	201
31.06	159
46.93	143
55.33	110
44.22	103
49.98	97
59.54	84

Entry 4:
Starting from a GGA-PBE-relaxed structure, the PXRD pattern of La4Pr6Nd was simulated for Cu Kα X-rays.

Cell and atoms:
```
La4Pr6Nd
1.0
-3.4273 3.4273 8.5762
3.4273 -3.4273 8.5762
3.4273 3.4273 -8.5762
La Pr Nd
4 6 1
Direct
0.2169 0.2169 0.6776
0.4607 0.7831 0.0000
0.5393 0.5393 0.3224
0.7831 0.4607 0.0000
0.0000 0.5000 0.5000
0.0028 0.6334 0.0000
0.3666 0.3666 0.3694
0.5000 0.0000 0.5000
0.6334 0.0028 0.0000
0.9972 0.9972 0.6306
0.0000 0.0000 0.0000
```

Peak list (12 most intense, 2θ = 15–90°, by intensity)
2theta	I_rel
29.60	1000
28.04	600
27.78	470
33.47	435
29.11	376
36.49	283
39.42	243
55.54	234
49.29	216
37.10	201
41.67	187
31.29	177

Entry 5:
Starting from a GGA-PBE-relaxed structure, the PXRD pattern of La8Pr3Nd was simulated for Cu Kα X-rays.

Cell and atoms:
```
La8Pr3Nd
1.0
8.0831 -4.5052 0.0000
8.0831 4.5052 0.0000
-2.6458 0.0000 6.0151
La Pr Nd
8 3 1
Direct
0.0692 0.0692 0.3177
0.1714 0.1729 0.9187
0.5004 0.0017 0.6510
0.5095 0.2362 0.3640
0.7638 0.4905 0.6360
0.8271 0.8286 0.0813
0.9308 0.9308 0.6823
0.9983 0.4996 0.3490
0.2350 0.5142 0.8867
0.3091 0.6909 0.5000
0.4858 0.7650 0.1133
0.6897 0.3103 0.0000
```

Peak list (12 most intense, 2θ = 15–90°, by intensity)
2theta	I_rel
29.43	1000
29.56	561
30.11	478
30.37	393
33.76	273
38.90	169
24.70	164
32.79	135
31.29	113
55.98	112
49.03	102
41.07	102

Entry 6:
Starting from a GGA-PBE-relaxed structure, the PXRD pattern of La5Pr2Nd2 was simulated for Cu Kα X-rays.

Cell and atoms:
```
La5Pr2Nd2
1.0
2.6057 -2.6585 0.0000
2.6057 2.6585 0.0000
-2.6030 0.0000 23.5557
La Pr Nd
5 2 2
Direct
0.0000 0.0000 0.0000
0.2224 0.2224 0.4443
0.4443 0.4443 0.8886
0.5557 0.5557 0.1114
0.7776 0.7776 0.5557
0.3335 0.3335 0.6680
0.6665 0.6665 0.3320
0.1115 0.1115 0.2224
0.8885 0.8885 0.7776
```

Peak list (12 most intense, 2θ = 15–90°, by intensity)
2theta	I_rel
29.45	1000
33.71	175
34.26	167
34.42	165
57.69	149
58.41	143
58.62	142
61.10	125
48.83	123
48.95	122
49.35	119
79.20	59